[1]
The following is a simulated powder X-ray diffraction pattern of NaSeF5. It was derived from a crystal structure in Alexandria, relaxed with GGA-PBE, using λ = 1.5418 Å (Cu Kα).
Intensities are scaled so that the largest is 100.

```
data_NaSeF5
_cell_length_a 9.2706
_cell_length_b 6.6151
_cell_length_c 8.1463
_cell_angle_alpha 90.00
_cell_angle_beta 116.06
_cell_angle_gamma 90.00
_space_group_name_H-M_alt 'C 1 2/c 1'
_space_group_IT_number 15
loop_
_space_group_symop_operation_xyz
'x,y,z'
'-x,-y,-z'
'-x,y,-z+1/2'
'x,-y,z+1/2'
'x+1/2,y+1/2,z'
'-x+1/2,-y+1/2,-z'
'-x+1/2,y+1/2,-z+1/2'
'x+1/2,-y+1/2,z+1/2'
loop_
_atom_site_label
_atom_site_fract_x
_atom_site_fract_y
_atom_site_fract_z
_atom_site_occupancy
Na1 0.0000 0.0258 0.2500 1
Se1 0.0000 0.5000 0.0000 1
F1 0.0000 0.4328 0.2500 1
F2 0.0165 0.2128 0.9754 1
F3 0.2268 0.4765 0.6169 1
```

Most intense lines, 10 to 90 degrees two-theta, most intense first:
hkl 1 1 -2, 3.468 Å, I = 100
hkl 1 1 0, 5.180 Å, I = 97
hkl 2 0 0, 4.164 Å, I = 92
hkl 2 0 -2, 3.659 Å, I = 51
hkl 0 2 0, 3.308 Å, I = 46
hkl 1 3 -2, 1.939 Å, I = 31
hkl 4 0 0, 2.082 Å, I = 31
hkl 2 0 -4, 2.037 Å, I = 28
hkl 5 1 -2, 1.785 Å, I = 25
hkl 3 3 2, 1.419 Å, I = 18

---

[2]
The following is a simulated powder X-ray diffraction pattern of Na2SiF6. It was derived from a crystal structure in Alexandria, relaxed with GGA-PBE, using λ = 1.5418 Å (Cu Kα).
Intensities are scaled so that the largest is 100.

```
data_Na2SiF6
_cell_length_a 9.0048
_cell_length_b 9.0048
_cell_length_c 5.1044
_cell_angle_alpha 90.00
_cell_angle_beta 90.00
_cell_angle_gamma 120.00
_space_group_name_H-M_alt 'P 3 2 1'
_space_group_IT_number 150
loop_
_space_group_symop_operation_xyz
'x,y,z'
'-y,x-y,z'
'-x+y,-x,z'
'y,x,-z'
'x-y,-y,-z'
'-x,-x+y,-z'
loop_
_atom_site_label
_atom_site_fract_x
_atom_site_fract_y
_atom_site_fract_z
_atom_site_occupancy
Na1 0.0000 0.2869 0.0000 1
Na2 0.0000 0.6249 0.5000 1
Si1 0.0000 0.0000 0.5000 1
Si2 0.3333 0.6667 0.0069 1
F1 0.0848 0.9040 0.3078 1
F2 0.1544 0.5577 0.2011 1
F3 0.2267 0.7397 0.8131 1
```

Most intense lines, 10 to 90 degrees two-theta, most intense first:
hkl 0 3 1, 2.316 Å, I = 100
hkl 1 0 1, 4.271 Å, I = 90
hkl 1 1 1, 3.377 Å, I = 83
hkl 0 3 2, 1.821 Å, I = 80
hkl 1 1 0, 4.502 Å, I = 71
hkl 0 2 1, 3.099 Å, I = 51
hkl 1 4 1, 1.614 Å, I = 33
hkl 3 2 1, 1.688 Å, I = 29
hkl 3 3 0, 1.501 Å, I = 20
hkl 2 1 3, 1.474 Å, I = 18

---

[3]
The following is a simulated powder X-ray diffraction pattern of Na2SiSnF8. It was derived from a crystal structure in Alexandria, relaxed with GGA-PBE, using λ = 1.5418 Å (Cu Kα).
Intensities are scaled so that the largest is 100.

```
data_Na2SiSnF8
_cell_length_a 4.9483
_cell_length_b 7.0595
_cell_length_c 5.0280
_cell_angle_alpha 90.00
_cell_angle_beta 90.65
_cell_angle_gamma 90.00
_space_group_name_H-M_alt 'P 1 2/m 1'
_space_group_IT_number 10
loop_
_space_group_symop_operation_xyz
'x,y,z'
'-x,-y,-z'
'-x,y,-z'
'x,-y,z'
loop_
_atom_site_label
_atom_site_fract_x
_atom_site_fract_y
_atom_site_fract_z
_atom_site_occupancy
Na1 0.0000 0.2384 0.0000 1
Si1 0.5000 0.0000 0.5000 1
Sn1 0.5000 0.5000 0.5000 1
F1 0.1844 0.5000 0.8075 1
F2 0.2581 0.0000 0.7399 1
F3 0.3254 0.1749 0.3285 1
```

Most intense lines, 10 to 90 degrees two-theta, most intense first:
hkl 1 0 1, 3.507 Å, I = 100
hkl 1 0 -1, 3.547 Å, I = 83
hkl 0 0 1, 5.028 Å, I = 71
hkl 1 0 0, 4.948 Å, I = 64
hkl 1 2 1, 2.488 Å, I = 61
hkl 1 2 2, 1.886 Å, I = 61
hkl 0 2 1, 2.889 Å, I = 59
hkl 1 2 0, 2.874 Å, I = 57
hkl 0 2 0, 3.530 Å, I = 34
hkl 1 1 1, 3.141 Å, I = 32

---

[4]
The following is a simulated powder X-ray diffraction pattern of Na2Sm2F7. It was derived from a crystal structure in Alexandria, relaxed with GGA-PBE, using λ = 1.5418 Å (Cu Kα).
Intensities are scaled so that the largest is 100.

```
data_Na2Sm2F7
_cell_length_a 7.7492
_cell_length_b 8.3519
_cell_length_c 5.7549
_cell_angle_alpha 90.00
_cell_angle_beta 90.00
_cell_angle_gamma 90.00
_space_group_name_H-M_alt 'C m m m'
_space_group_IT_number 65
_space_group_name_Hall '-C 2 2'
loop_
_atom_site_label
_atom_site_fract_x
_atom_site_fract_y
_atom_site_fract_z
_atom_site_occupancy
Na1 0.2408 0.0000 0.0000 1
Sm1 0.0000 0.2310 0.5000 1
F1 0.0000 0.0000 0.2696 1
F2 0.0000 0.5000 0.5000 1
F3 0.2500 0.2500 0.2713 1
```

Most intense lines, 10 to 90 degrees two-theta, most intense first:
hkl 0 0 1, 5.755 Å, I = 100
hkl 2 0 1, 3.214 Å, I = 79
hkl 0 2 1, 3.380 Å, I = 72
hkl 2 2 2, 2.021 Å, I = 60
hkl 0 2 0, 4.176 Å, I = 40
hkl 2 2 1, 2.547 Å, I = 27
hkl 2 0 0, 3.875 Å, I = 25
hkl 4 0 0, 1.937 Å, I = 23
hkl 2 0 2, 2.310 Å, I = 23
hkl 2 4 1, 1.751 Å, I = 22

---

[5]
The following is a simulated powder X-ray diffraction pattern of Na2SmZnF8. It was derived from a crystal structure in Alexandria, relaxed with GGA-PBE, using λ = 1.5418 Å (Cu Kα).
Intensities are scaled so that the largest is 100.

```
data_Na2SmZnF8
_cell_length_a 4.0004
_cell_length_b 7.3057
_cell_length_c 5.5272
_cell_angle_alpha 90.00
_cell_angle_beta 94.82
_cell_angle_gamma 90.00
_space_group_name_H-M_alt 'P 1 2/m 1'
_space_group_IT_number 10
loop_
_space_group_symop_operation_xyz
'x,y,z'
'-x,-y,-z'
'-x,y,-z'
'x,-y,z'
loop_
_atom_site_label
_atom_site_fract_x
_atom_site_fract_y
_atom_site_fract_z
_atom_site_occupancy
Na1 0.0000 0.2357 0.0000 1
Sm1 0.5000 0.5000 0.5000 1
Zn1 0.5000 0.0000 0.5000 1
F1 0.0013 0.5000 0.2612 1
F2 0.0953 0.0000 0.2828 1
F3 0.4404 0.2318 0.7259 1
```

Most intense lines, 10 to 90 degrees two-theta, most intense first:
hkl 0 0 1, 5.508 Å, I = 100
hkl 0 2 1, 3.044 Å, I = 90
hkl 1 2 -2, 1.982 Å, I = 62
hkl 1 0 -1, 3.366 Å, I = 57
hkl 1 0 1, 3.108 Å, I = 51
hkl 1 2 2, 1.873 Å, I = 43
hkl 1 0 0, 3.986 Å, I = 37
hkl 0 4 0, 1.826 Å, I = 34
hkl 0 2 0, 3.653 Å, I = 30
hkl 1 2 -1, 2.475 Å, I = 29

---

[6]
The following is a simulated powder X-ray diffraction pattern of Na3SnF6. It was derived from a crystal structure in Alexandria, relaxed with GGA-PBE, using λ = 1.5418 Å (Cu Kα).
Intensities are scaled so that the largest is 100.

```
data_Na3SnF6
_cell_length_a 8.2736
_cell_length_b 11.3658
_cell_length_c 6.3760
_cell_angle_alpha 90.00
_cell_angle_beta 90.00
_cell_angle_gamma 90.00
_space_group_name_H-M_alt 'C m c 21'
_space_group_IT_number 36
loop_
_space_group_symop_operation_xyz
'x,y,z'
'-x,-y,z+1/2'
'-x,y,z'
'x,-y,z+1/2'
'x+1/2,y+1/2,z'
'-x+1/2,-y+1/2,z+1/2'
'-x+1/2,y+1/2,z'
'x+1/2,-y+1/2,z+1/2'
loop_
_atom_site_label
_atom_site_fract_x
_atom_site_fract_y
_atom_site_fract_z
_atom_site_occupancy
Na1 0.0000 0.1564 0.0000 1
Na2 0.2262 0.1211 0.4498 1
Sn1 0.0000 0.3679 0.5825 1
F1 0.0000 0.2368 0.3381 1
F2 0.0000 0.4538 0.8903 1
F3 0.1552 0.2378 0.7335 1
F4 0.2339 0.0585 0.0922 1
```

Most intense lines, 10 to 90 degrees two-theta, most intense first:
hkl 1 1 1, 4.615 Å, I = 100
hkl 0 2 1, 4.242 Å, I = 97
hkl 2 2 1, 2.962 Å, I = 97
hkl 1 1 0, 6.689 Å, I = 87
hkl 2 6 1, 1.664 Å, I = 49
hkl 1 3 2, 2.340 Å, I = 35
hkl 4 0 0, 2.070 Å, I = 34
hkl 2 4 2, 1.888 Å, I = 33
hkl 0 2 3, 1.991 Å, I = 29
hkl 0 4 2, 2.121 Å, I = 29

---

[7]
The following is a simulated powder X-ray diffraction pattern of NaSn2F8. It was derived from a crystal structure in Alexandria, relaxed with GGA-PBE, using λ = 1.5418 Å (Cu Kα).
Intensities are scaled so that the largest is 100.

```
data_NaSn2F8
_cell_length_a 7.1137
_cell_length_b 7.1137
_cell_length_c 4.2721
_cell_angle_alpha 90.00
_cell_angle_beta 90.00
_cell_angle_gamma 120.00
_space_group_name_H-M_alt 'P -3'
_space_group_IT_number 147
loop_
_space_group_symop_operation_xyz
'x,y,z'
'-x,-y,-z'
'-y,x-y,z'
'y,-x+y,-z'
'-x+y,-x,z'
'x-y,x,-z'
loop_
_atom_site_label
_atom_site_fract_x
_atom_site_fract_y
_atom_site_fract_z
_atom_site_occupancy
Na1 0.0000 0.0000 0.0000 1
Sn1 0.3333 0.6667 0.2475 1
F1 0.1721 0.8257 0.2472 1
F2 0.3333 0.6667 0.7466 1
```

Most intense lines, 10 to 90 degrees two-theta, most intense first:
hkl 0 1 1, 3.511 Å, I = 100
hkl 1 1 0, 3.557 Å, I = 81
hkl 1 2 1, 2.045 Å, I = 42
hkl 1 0 0, 6.161 Å, I = 42
hkl 2 2 0, 1.778 Å, I = 27
hkl 2 0 0, 3.080 Å, I = 25
hkl 4 -1 1, 1.586 Å, I = 21
hkl 3 0 0, 2.054 Å, I = 18
hkl 1 1 2, 1.831 Å, I = 17
hkl 2 2 2, 1.367 Å, I = 16

---

[8]
The following is a simulated powder X-ray diffraction pattern of Na3SnF8. It was derived from a crystal structure in Alexandria, relaxed with GGA-PBE, using λ = 1.5418 Å (Cu Kα).
Intensities are scaled so that the largest is 100.

```
data_Na3SnF8
_cell_length_a 5.3925
_cell_length_b 5.3925
_cell_length_c 5.3925
_cell_angle_alpha 90.00
_cell_angle_beta 90.00
_cell_angle_gamma 90.00
_space_group_name_H-M_alt 'P m -3 m'
_space_group_IT_number 221
_space_group_name_Hall '-P 4 2 3'
loop_
_atom_site_label
_atom_site_fract_x
_atom_site_fract_y
_atom_site_fract_z
_atom_site_occupancy
Na1 0.0000 0.0000 0.5000 1
Sn1 0.5000 0.5000 0.5000 1
F1 0.2718 0.2718 0.2718 1
```

Most intense lines, 10 to 90 degrees two-theta, most intense first:
hkl 2 2 0, 1.907 Å, I = 100
hkl 1 0 0, 5.392 Å, I = 100
hkl 1 1 1, 3.113 Å, I = 96
hkl 1 1 0, 3.813 Å, I = 61
hkl 3 1 1, 1.626 Å, I = 41
hkl 2 1 1, 2.201 Å, I = 26
hkl 4 2 2, 1.101 Å, I = 24
hkl 2 1 0, 2.412 Å, I = 22
hkl 2 2 1, 1.797 Å, I = 22
hkl 3 2 0, 1.496 Å, I = 19

---

[9]
The following is a simulated powder X-ray diffraction pattern of Na4Sn3F10. It was derived from a crystal structure in Alexandria, relaxed with GGA-PBE, using λ = 1.5418 Å (Cu Kα).
Intensities are scaled so that the largest is 100.

```
data_Na4Sn3F10
_cell_length_a 12.3544
_cell_length_b 18.3669
_cell_length_c 5.5494
_cell_angle_alpha 90.00
_cell_angle_beta 91.60
_cell_angle_gamma 90.00
_space_group_name_H-M_alt 'C 1 2/c 1'
_space_group_IT_number 15
loop_
_space_group_symop_operation_xyz
'x,y,z'
'-x,-y,-z'
'-x,y,-z+1/2'
'x,-y,z+1/2'
'x+1/2,y+1/2,z'
'-x+1/2,-y+1/2,-z'
'-x+1/2,y+1/2,-z+1/2'
'x+1/2,-y+1/2,z+1/2'
loop_
_atom_site_label
_atom_site_fract_x
_atom_site_fract_y
_atom_site_fract_z
_atom_site_occupancy
Na1 0.0000 0.0473 0.2500 1
Na2 0.0000 0.1546 0.7500 1
Na3 0.1732 0.2285 0.2526 1
Sn1 0.0000 0.3409 0.7500 1
Sn2 0.2466 0.0809 0.8352 1
F1 0.0378 0.2568 0.5175 1
F2 0.1046 0.0489 0.6130 1
F3 0.1211 0.1232 0.0474 1
F4 0.1681 0.3219 0.9404 1
F5 0.2371 0.1692 0.6036 1
```

Most intense lines, 10 to 90 degrees two-theta, most intense first:
hkl 2 2 -1, 3.808 Å, I = 100
hkl 2 2 1, 3.721 Å, I = 91
hkl 0 4 1, 3.537 Å, I = 81
hkl 1 1 -1, 4.926 Å, I = 68
hkl 4 0 0, 3.088 Å, I = 57
hkl 2 6 0, 2.743 Å, I = 47
hkl 1 3 0, 5.485 Å, I = 44
hkl 2 2 0, 5.124 Å, I = 43
hkl 6 2 -1, 1.907 Å, I = 40
hkl 3 5 -1, 2.475 Å, I = 37

---

[10]
The following is a simulated powder X-ray diffraction pattern of NaSrZn2F8. It was derived from a crystal structure in Alexandria, relaxed with GGA-PBE, using λ = 1.5418 Å (Cu Kα).
Intensities are scaled so that the largest is 100.

```
data_NaSrZn2F8
_cell_length_a 5.5395
_cell_length_b 5.5395
_cell_length_c 11.3047
_cell_angle_alpha 90.00
_cell_angle_beta 90.00
_cell_angle_gamma 90.00
_space_group_name_H-M_alt 'I -4'
_space_group_IT_number 82
loop_
_space_group_symop_operation_xyz
'x,y,z'
'y,-x,-z'
'-x,-y,z'
'-y,x,-z'
'x+1/2,y+1/2,z+1/2'
'y+1/2,-x+1/2,-z+1/2'
'-x+1/2,-y+1/2,z+1/2'
'-y+1/2,x+1/2,-z+1/2'
loop_
_atom_site_label
_atom_site_fract_x
_atom_site_fract_y
_atom_site_fract_z
_atom_site_occupancy
Na1 0.0000 0.0000 0.0000 1
Sr1 0.0000 0.5000 0.7500 1
Zn1 0.0000 0.0000 0.5000 1
Zn2 0.0000 0.5000 0.2500 1
F1 0.1674 0.7531 0.1698 1
F2 0.1726 0.2517 0.5796 1
```

Most intense lines, 10 to 90 degrees two-theta, most intense first:
hkl 1 1 2, 3.220 Å, I = 100
hkl 2 0 4, 1.978 Å, I = 35
hkl 1 3 2, 1.673 Å, I = 29
hkl 2 2 0, 1.959 Å, I = 21
hkl 1 1 6, 1.698 Å, I = 15
hkl 1 0 1, 4.974 Å, I = 13
hkl 3 1 6, 1.283 Å, I = 11
hkl 1 1 4, 2.292 Å, I = 11
hkl 2 2 4, 1.610 Å, I = 10
hkl 0 0 4, 2.826 Å, I = 10

---

[11]
The following is a simulated powder X-ray diffraction pattern of NaTaF. It was derived from a crystal structure in Alexandria, relaxed with GGA-PBE, using λ = 1.5418 Å (Cu Kα).
Intensities are scaled so that the largest is 100.

```
data_NaTaF
_cell_length_a 2.8568
_cell_length_b 22.8923
_cell_length_c 2.8941
_cell_angle_alpha 90.00
_cell_angle_beta 99.36
_cell_angle_gamma 90.00
_space_group_name_H-M_alt 'C 1 2 1'
_space_group_IT_number 5
loop_
_space_group_symop_operation_xyz
'x,y,z'
'-x,y,-z'
'x+1/2,y+1/2,z'
'-x+1/2,y+1/2,-z'
loop_
_atom_site_label
_atom_site_fract_x
_atom_site_fract_y
_atom_site_fract_z
_atom_site_occupancy
Na1 0.0000 0.0000 0.0000 1
Na2 0.0000 0.1288 0.5000 1
Ta1 0.0000 0.3570 0.5000 1
Ta2 0.0000 0.7622 0.0000 1
F1 0.0000 0.4521 0.5000 1
F2 0.0000 0.5763 0.0000 1
```

Most intense lines, 10 to 90 degrees two-theta, most intense first:
hkl 0 4 1, 2.555 Å, I = 100
hkl 1 5 0, 2.400 Å, I = 88
hkl 0 10 0, 2.287 Å, I = 88
hkl 1 3 0, 2.644 Å, I = 67
hkl 1 1 -1, 2.182 Å, I = 67
hkl 0 4 0, 5.723 Å, I = 46
hkl 1 1 1, 1.854 Å, I = 41
hkl 0 8 0, 2.862 Å, I = 40
hkl 0 2 1, 2.771 Å, I = 33
hkl 1 7 0, 2.135 Å, I = 29

---

[12]
The following is a simulated powder X-ray diffraction pattern of NaTa2F. It was derived from a crystal structure in Alexandria, relaxed with GGA-PBE, using λ = 1.5418 Å (Cu Kα).
Intensities are scaled so that the largest is 100.

```
data_NaTa2F
_cell_length_a 5.7811
_cell_length_b 5.7811
_cell_length_c 11.4927
_cell_angle_alpha 90.00
_cell_angle_beta 90.00
_cell_angle_gamma 90.00
_space_group_name_H-M_alt 'I 41/a m d'
_space_group_IT_number 141
loop_
_space_group_symop_operation_xyz
'x,y,z'
'-x,-y,-z'
'-y+1/4,x+3/4,z+1/4'
'y+1/4,-x+3/4,-z+1/4'
'-x+1/2,-y,z+1/2'
'x+1/2,y,-z+1/2'
'y+1/4,-x+1/4,z+3/4'
'-y+1/4,x+1/4,-z+3/4'
'x,-y,-z'
'-x,y,z'
'-y+1/4,-x+1/4,-z+3/4'
'y+1/4,x+1/4,z+3/4'
'-x+1/2,y,-z+1/2'
'x+1/2,-y,z+1/2'
'y+1/4,x+3/4,-z+1/4'
'-y+1/4,-x+3/4,z+1/4'
'x+1/2,y+1/2,z+1/2'
'-x+1/2,-y+1/2,-z+1/2'
'-y+3/4,x+1/4,z+3/4'
'y+3/4,-x+1/4,-z+3/4'
'-x,-y+1/2,z'
'x,y+1/2,-z'
'y+3/4,-x+3/4,z+1/4'
'-y+3/4,x+3/4,-z+1/4'
'x+1/2,-y+1/2,-z+1/2'
'-x+1/2,y+1/2,z+1/2'
'-y+3/4,-x+3/4,-z+1/4'
'y+3/4,x+3/4,z+1/4'
'-x,y+1/2,-z'
'x,-y+1/2,z'
'y+3/4,x+1/4,-z+3/4'
'-y+3/4,-x+1/4,z+3/4'
loop_
_atom_site_label
_atom_site_fract_x
_atom_site_fract_y
_atom_site_fract_z
_atom_site_occupancy
Na1 0.0000 0.2500 0.3750 1
Ta1 0.0000 0.0000 0.0000 1
F1 0.0000 0.2500 0.8750 1
```

Most intense lines, 10 to 90 degrees two-theta, most intense first:
hkl 1 0 1, 5.165 Å, I = 100
hkl 2 0 2, 2.582 Å, I = 73
hkl 2 1 1, 2.522 Å, I = 36
hkl 1 0 3, 3.193 Å, I = 33
hkl 2 2 4, 1.666 Å, I = 25
hkl 2 1 3, 2.143 Å, I = 21
hkl 0 0 4, 2.873 Å, I = 19
hkl 2 0 6, 1.597 Å, I = 17
hkl 4 2 2, 1.261 Å, I = 16
hkl 2 2 0, 2.044 Å, I = 15